Simulated powder diffraction line list of ZnCoPbF6 for Cu Kα (weighted mean of Kα1 and Kα2), from a GGA+U-relaxed structure.
No peak broadening, texture or thermal motion is included.

a b c (Å): 5.4592 5.4592 10.5176
angles (deg): 90.00 90.00 120.00
Space group P-31c (No. 163)
Unique sites:
Zn 0.3333 0.6667 0.2500
Co 0.3333 0.6667 0.7500
Pb 0.0000 0.0000 0.0000
F 0.0008 0.3643 0.6439

Main lines, most intense first (10° ≤ 2θ ≤ 90°):
3.516 Å, 2θ = 25.33°, I = 100.0, (1 0 2); 1.894 Å, 2θ = 48.05°, I = 35.6, (1 1 4); 2.730 Å, 2θ = 32.81°, I = 27.1, (1 1 0); 2.156 Å, 2θ = 41.90°, I = 25.0, (2 0 2); 1.692 Å, 2θ = 54.21°, I = 24.8, (2 1 2); 4.728 Å, 2θ = 18.77°, I = 19.6, (1 0 0); 1.576 Å, 2θ = 58.57°, I = 11.9, (3 0 0); 1.644 Å, 2θ = 55.94°, I = 10.7, (1 0 6); 1.272 Å, 2θ = 74.59°, I = 10.1, (4 -1 2); 2.298 Å, 2θ = 39.20°, I = 9.6, (1 0 4)